[1]
Starting from a DFT-relaxed cell (PBE, Alexandria), the powder diffractogram of RbPuThO6 was calculated for Cu Kα.

Principal peaks in the range 10° ≤ 2θ ≤ 90°, low angle first:
2θ = 13.9°, I = 65, hkl 0 1 1
2θ = 14.5°, I = 87, hkl 1 0 1
2θ = 26.3°, I = 96, hkl 1 2 1
2θ = 27.4°, I = 67, hkl 2 1 1
2θ = 27.9°, I = 100, hkl 0 2 2
2θ = 28.5°, I = 41, hkl 1 0 3
2θ = 29.3°, I = 78, hkl 2 0 2
2θ = 44.5°, I = 44, hkl 0 4 0
2θ = 48.2°, I = 72, hkl 2 2 4
2θ = 56.5°, I = 30, hkl 4 2 2

Structural model:
```
data_RbPuThO6
_chemical_formula_sum 'Rb4 Pu4 Th4 O24'
_cell_length_a 7.5674
_cell_length_b 8.1475
_cell_length_c 10.3153
_cell_angle_alpha 90.00
_cell_angle_beta 90.00
_cell_angle_gamma 90.00
_space_group_name_H-M_alt 'I m m a'
_space_group_IT_number 74
_space_group_name_Hall '-I 2b 2'
loop_
_atom_site_label
_atom_site_type_symbol
_atom_site_fract_x
_atom_site_fract_y
_atom_site_fract_z
Rb1 Rb 0.0000 0.2500 0.1460
Pu1 Pu 0.0000 0.0000 0.5000
Th1 Th 0.2500 0.2500 0.7500
O1 O 0.0000 0.2500 0.5837
O2 O 0.0000 0.2500 0.8590
O3 O 0.1812 0.0234 0.3707
```

---

[2]
Starting from a DFT-relaxed cell (PBE, Alexandria), the powder diffractogram of PrSn2Pd5 was calculated for Cu Kα.

Principal peaks in the range 10° ≤ 2θ ≤ 90°, low angle first:
2θ = 30.2°, I = 40, hkl 1 1 2
2θ = 33.0°, I = 64, hkl 1 0 3
2θ = 34.4°, I = 100, hkl 1 2 1
2θ = 41.0°, I = 85, hkl 0 2 4
2θ = 41.6°, I = 28, hkl 1 1 4
2θ = 43.8°, I = 32, hkl 1 3 0
2θ = 45.5°, I = 39, hkl 2 0 0
2θ = 46.9°, I = 42, hkl 1 0 5
2θ = 62.9°, I = 48, hkl 2 2 4
2θ = 78.2°, I = 15, hkl 1 5 4

Structural model:
```
data_PrSn2Pd5
_chemical_formula_sum 'Pr2 Sn4 Pd10'
_cell_length_a 3.9857
_cell_length_b 7.2471
_cell_length_c 11.0967
_cell_angle_alpha 90.00
_cell_angle_beta 90.00
_cell_angle_gamma 90.00
_space_group_name_H-M_alt 'I m m m'
_space_group_IT_number 71
_space_group_name_Hall '-I 2 2'
loop_
_atom_site_label
_atom_site_type_symbol
_atom_site_fract_x
_atom_site_fract_y
_atom_site_fract_z
Pr1 Pr 0.0000 0.0000 0.0000
Sn1 Sn 0.0000 0.5000 0.2420
Pd1 Pd 0.0000 0.1989 0.3718
Pd2 Pd 0.0000 0.5000 0.0000
```